1.
For K3TlF4, a structure optimized by DFT (PBE) gives the calculated powder diffractogram in this record (CuKα).
Peak positions follow from Bragg's law for the DFT cell and can differ from measured ones.

Most intense lines, 2θ from 10° to 90°, in order of rising 2θ:
2θ = 18.06°, 4.911 Å, I = 82; 2θ = 28.15°, 3.170 Å, I = 70; 2θ = 29.33°, 3.046 Å, I = 29; 2θ = 32.62°, 2.745 Å, I = 100; 2θ = 37.54°, 2.396 Å, I = 28; 2θ = 44.43°, 2.039 Å, I = 28; 2θ = 46.80°, 1.941 Å, I = 68; 2θ = 55.51°, 1.655 Å, I = 33

Crystal structure
a = 6.7243 Å, b = 6.7243 Å, c = 6.7243 Å
α = 131.81°, β = 131.81°, γ = 70.52°
Positions (direct):
K 0.0000 0.0000 0.0000
K 0.2500 0.7500 0.5000
K 0.7500 0.2500 0.5000
Tl 0.5000 0.5000 0.0000
F 0.0000 0.5000 0.5000
F 0.2434 0.2434 0.0000
F 0.5000 0.0000 0.5000
F 0.7566 0.7566 0.0000


2.
For KTlF3, a structure optimized by DFT (PBE) gives the calculated powder diffractogram in this record (CuKα).
Peak positions follow from Bragg's law for the DFT cell and can differ from measured ones.

Most intense lines, 2θ from 10° to 90°, in order of rising 2θ:
2θ = 19.01°, 4.668 Å, I = 100; 2θ = 26.53°, 3.360 Å, I = 51; 2θ = 27.05°, 3.296 Å, I = 46; 2θ = 27.44°, 3.250 Å, I = 48; 2θ = 38.45°, 2.341 Å, I = 12; 2θ = 38.63°, 2.331 Å, I = 23; 2θ = 46.94°, 1.936 Å, I = 12; 2θ = 48.63°, 1.872 Å, I = 14

Crystal structure
a = 6.7217 Å, b = 6.7217 Å, c = 11.2057 Å
α = 107.16°, β = 107.16°, γ = 58.79°
Positions (direct):
K 0.0454 0.6715 0.8754
K 0.3285 0.9546 0.6246
K 0.6715 0.0454 0.3754
K 0.9546 0.3285 0.1246
Tl 0.0000 0.5000 0.5000
Tl 0.2816 0.7184 0.2500
Tl 0.5000 0.0000 0.0000
Tl 0.7184 0.2816 0.7500
F 0.1441 0.6938 0.4534
F 0.1575 0.2335 0.8956
F 0.2335 0.1575 0.3956
F 0.2623 0.4144 0.6763
F 0.3062 0.8559 0.0466
F 0.4144 0.2623 0.1763
F 0.5856 0.7377 0.8237
F 0.6938 0.1441 0.9534
F 0.7377 0.5856 0.3237
F 0.7665 0.8425 0.6044
F 0.8425 0.7665 0.1044
F 0.8559 0.3062 0.5466


3.
For K2Tl2F7, a structure optimized by DFT (PBE) gives the calculated powder diffractogram in this record (CuKα).
Peak positions follow from Bragg's law for the DFT cell and can differ from measured ones.

Most intense lines, 2θ from 10° to 90°, in order of rising 2θ:
2θ = 14.52°, 6.099 Å, I = 100; 2θ = 20.82°, 4.266 Å, I = 35; 2θ = 23.23°, 3.829 Å, I = 23; 2θ = 25.48°, 3.496 Å, I = 88; 2θ = 27.50°, 3.243 Å, I = 91; 2θ = 31.39°, 2.850 Å, I = 27; 2θ = 34.75°, 2.582 Å, I = 27; 2θ = 43.46°, 2.082 Å, I = 64

Crystal structure
a = 5.7328 Å, b = 5.7328 Å, c = 6.0985 Å
α = 90.00°, β = 90.00°, γ = 96.18°
Positions (direct):
K 0.2439 0.2439 0.0000
K 0.7561 0.7561 0.0000
Tl 0.2744 0.7256 0.5000
Tl 0.7256 0.2744 0.5000
F 0.0000 0.0000 0.5000
F 0.0000 0.5000 0.2714
F 0.0000 0.5000 0.7286
F 0.5000 0.0000 0.2714
F 0.5000 0.0000 0.7286
F 0.5000 0.5000 0.2816
F 0.5000 0.5000 0.7184